Entry 1:
Starting from a DFT-relaxed cell (PBE+U, the Materials Project), the powder XRD pattern of Li4Co3O7 was simulated for copper Kα.
No peak broadening, texture or thermal motion is included.

Most intense lines, 2θ from 10° to 80°, by angle:
2θ 18.41, I 100, (0 1 -1)
2θ 35.82, I 14, (2 0 1)
2θ 35.94, I 15, (-1 1 2)
2θ 36.97, I 12, (1 2 2)
2θ 43.39, I 56, (1 0 -3)
2θ 44.74, I 25, (1 3 1)
2θ 62.89, I 8, (-3 1 1)
2θ 63.20, I 15, (1 -1 5)
2θ 63.70, I 7, (1 -4 1)
2θ 64.55, I 7, (3 2 3)

Structural model:
```
Li4Co3O7
1.0
5.090 0.000 0.000
0.722 6.409 0.000
1.556 0.220 7.564
Li Co O
8 6 14
direct
0.000 0.000 0.000 Li
0.074 0.857 0.353 Li
0.216 0.573 0.072 Li
0.349 0.277 0.789 Li
0.500 0.000 0.500 Li
0.651 0.723 0.211 Li
0.784 0.427 0.928 Li
0.926 0.143 0.647 Li
0.139 0.720 0.722 Co
0.285 0.432 0.429 Co
0.425 0.141 0.138 Co
0.575 0.859 0.862 Co
0.715 0.568 0.571 Co
0.861 0.280 0.278 Co
0.042 0.436 0.674 O
0.133 0.275 0.050 O
0.190 0.152 0.375 O
0.269 0.975 0.755 O
0.348 0.875 0.095 O
0.389 0.698 0.464 O
0.468 0.594 0.819 O
0.532 0.406 0.181 O
0.611 0.302 0.536 O
0.652 0.125 0.905 O
0.731 0.025 0.245 O
0.810 0.848 0.625 O
0.867 0.725 0.950 O
0.958 0.564 0.326 O
```

Entry 2:
Starting from a DFT-relaxed cell (PBE+U, the Materials Project), the powder XRD pattern of MgV4Ag2O11 was simulated for copper Kα.
No peak broadening, texture or thermal motion is included.

Most intense lines, 2θ from 10° to 80°, by angle:
2θ 13.16, I 30, (0 1 1)
2θ 23.36, I 37, (0 2 0)
2θ 26.50, I 40, (0 2 2)
2θ 29.11, I 15, (1 1 2)
2θ 29.26, I 100, (0 2 -1)
2θ 30.98, I 33, (1 1 -1)
2θ 31.16, I 19, (-1 1 1)
2θ 31.44, I 48, (1 0 2)
2θ 40.24, I 21, (0 3 3)
2θ 49.14, I 34, (2 1 1)

Structural model:
```
MgV4Ag2O11
1.0
3.708 0.000 0.000
1.847 8.091 0.000
1.731 2.823 7.878
Mg V Ag O
1 4 2 11
direct
0.000 0.000 0.000 Mg
0.137 0.081 0.630 V
0.366 0.646 0.599 V
0.664 0.781 0.886 V
0.866 0.389 0.891 V
0.121 0.508 0.244 Ag
0.797 0.025 0.341 Ag
0.012 0.205 0.766 O
0.156 0.841 0.841 O
0.157 0.229 0.433 O
0.300 0.876 0.497 O
0.362 0.446 0.818 O
0.480 0.564 0.442 O
0.530 0.905 0.038 O
0.657 0.008 0.662 O
0.716 0.557 0.023 O
0.832 0.639 0.679 O
0.844 0.210 0.077 O
```

Please write out number 2 again, unchanged.
Starting from a DFT-relaxed cell (PBE+U, the Materials Project), the powder XRD pattern of MgV4Ag2O11 was simulated for copper Kα.
No peak broadening, texture or thermal motion is included.

Most intense lines, 2θ from 10° to 80°, by angle:
2θ 13.16, I 30, (0 1 1)
2θ 23.36, I 37, (0 2 0)
2θ 26.50, I 40, (0 2 2)
2θ 29.11, I 15, (1 1 2)
2θ 29.26, I 100, (0 2 -1)
2θ 30.98, I 33, (1 1 -1)
2θ 31.16, I 19, (-1 1 1)
2θ 31.44, I 48, (1 0 2)
2θ 40.24, I 21, (0 3 3)
2θ 49.14, I 34, (2 1 1)

Structural model:
```
MgV4Ag2O11
1.0
3.708 0.000 0.000
1.847 8.091 0.000
1.731 2.823 7.878
Mg V Ag O
1 4 2 11
direct
0.000 0.000 0.000 Mg
0.137 0.081 0.630 V
0.366 0.646 0.599 V
0.664 0.781 0.886 V
0.866 0.389 0.891 V
0.121 0.508 0.244 Ag
0.797 0.025 0.341 Ag
0.012 0.205 0.766 O
0.156 0.841 0.841 O
0.157 0.229 0.433 O
0.300 0.876 0.497 O
0.362 0.446 0.818 O
0.480 0.564 0.442 O
0.530 0.905 0.038 O
0.657 0.008 0.662 O
0.716 0.557 0.023 O
0.832 0.639 0.679 O
0.844 0.210 0.077 O
```